1.
For CdSO5, a crystal structure in the Materials Project, relaxed with GGA-PBE gives the simulated XRD peak list in this record (a wavelength of 1.5418 Å).
Neutral-atom scattering factors, no anomalous dispersion.

Main lines, in order of rising 2θ (2θ from 10° to 80°):
- 2θ = 17.16°, d 5.167, I 16
- 2θ = 17.83°, d 4.975, I 71
- 2θ = 23.07°, d 3.854, I 32
- 2θ = 24.48°, d 3.637, I 100
- 2θ = 26.42°, d 3.374, I 15
- 2θ = 27.39°, d 3.256, I 46
- 2θ = 34.70°, d 2.585, I 43
- 2θ = 37.07°, d 2.425, I 40
- 2θ = 37.63°, d 2.390, I 23
- 2θ = 41.40°, d 2.181, I 15
- 2θ = 43.30°, d 2.089, I 17
- 2θ = 54.41°, d 1.686, I 22

Atomic structure:
Lattice parameters (Å, degrees): 7.702 7.709 8.249 90.00 122.27 90.00
Atoms (fractional coordinates):
1 Cd 0.226 0.243 0.466
2 Cd 0.226 0.257 0.966
3 Cd 0.774 0.743 0.034
4 Cd 0.774 0.757 0.534
5 S 0.255 0.615 0.238
6 S 0.255 0.885 0.738
7 S 0.745 0.115 0.262
8 S 0.745 0.385 0.762
9 O 0.113 0.742 0.620
10 O 0.113 0.758 0.120
11 O 0.136 0.005 0.785
12 O 0.136 0.495 0.285
13 O 0.268 0.128 0.234
14 O 0.268 0.372 0.734
15 O 0.329 0.520 0.128
16 O 0.329 0.980 0.628
17 O 0.434 0.687 0.414
18 O 0.434 0.813 0.914
19 O 0.566 0.187 0.086
20 O 0.566 0.313 0.586
21 O 0.671 0.020 0.372
22 O 0.671 0.480 0.872
23 O 0.732 0.628 0.266
24 O 0.732 0.872 0.766
25 O 0.864 0.505 0.715
26 O 0.864 0.995 0.215
27 O 0.887 0.242 0.880
28 O 0.887 0.258 0.380

2.
For Cd3S3O20, a crystal structure in the Materials Project, relaxed with GGA-PBE gives the simulated XRD peak list in this record (a wavelength of 1.5418 Å).
Neutral-atom scattering factors, no anomalous dispersion.

Main lines, in order of rising 2θ (2θ from 10° to 80°):
- 2θ = 12.09°, d 7.320, I 32
- 2θ = 12.29°, d 7.203, I 93
- 2θ = 13.07°, d 6.775, I 61
- 2θ = 13.27°, d 6.673, I 74
- 2θ = 20.72°, d 4.288, I 31
- 2θ = 22.30°, d 3.987, I 47
- 2θ = 22.64°, d 3.928, I 58
- 2θ = 22.85°, d 3.892, I 52
- 2θ = 27.73°, d 3.217, I 53
- 2θ = 28.92°, d 3.087, I 65
- 2θ = 32.31°, d 2.771, I 100
- 2θ = 36.13°, d 2.486, I 37

Atomic structure:
Lattice parameters (Å, degrees): 9.704 10.008 10.009 85.21 85.27 85.23
Atoms (fractional coordinates):
1 Cd 0.000 0.000 0.000
2 Cd 0.000 0.491 0.998
3 Cd 0.252 0.248 0.500
4 Cd 0.500 0.748 0.255
5 Cd 0.501 0.747 0.747
6 Cd 0.750 0.246 0.501
7 S 0.027 0.240 0.250
8 S 0.250 0.732 0.014
9 S 0.474 0.497 0.507
10 S 0.526 0.996 0.499
11 S 0.750 0.760 0.987
12 S 0.977 0.246 0.751
13 O 0.030 0.108 0.802
14 O 0.037 0.871 0.622
15 O 0.045 0.140 0.147
16 O 0.077 0.296 0.641
17 O 0.132 0.577 0.700
18 O 0.134 0.926 0.560
19 O 0.138 0.640 0.048
20 O 0.164 0.250 0.302
21 O 0.194 0.874 0.028
22 O 0.197 0.496 0.775
23 O 0.298 0.965 0.258
24 O 0.308 0.717 0.873
25 O 0.336 0.448 0.493
26 O 0.358 0.043 0.175
27 O 0.361 0.697 0.108
28 O 0.368 0.182 0.819
29 O 0.429 0.109 0.448
30 O 0.456 0.598 0.608
31 O 0.469 0.943 0.634
32 O 0.480 0.139 0.862
33 O 0.514 0.360 0.145
34 O 0.531 0.557 0.375
35 O 0.544 0.888 0.405
36 O 0.571 0.382 0.553
37 O 0.630 0.322 0.183
38 O 0.637 0.796 0.896
39 O 0.646 0.438 0.835
40 O 0.664 0.047 0.510
41 O 0.695 0.774 0.129
42 O 0.700 0.520 0.753
43 O 0.806 0.619 0.970
44 O 0.807 0.988 0.228
45 O 0.839 0.240 0.698
46 O 0.860 0.907 0.311
47 O 0.861 0.852 0.951
48 O 0.868 0.559 0.427
49 O 0.927 0.194 0.362
50 O 0.961 0.337 0.862
51 O 0.974 0.374 0.191
52 O 0.985 0.595 0.393

3.
For CdSO3, a crystal structure in the Materials Project, relaxed with GGA-PBE gives the simulated XRD peak list in this record (a wavelength of 1.5418 Å).
Neutral-atom scattering factors, no anomalous dispersion.

Main lines, in order of rising 2θ (2θ from 10° to 80°):
- 2θ = 12.87°, d 6.881, I 38
- 2θ = 13.04°, d 6.791, I 82
- 2θ = 22.58°, d 3.938, I 55
- 2θ = 25.90°, d 3.440, I 41
- 2θ = 29.10°, d 3.069, I 100
- 2θ = 29.33°, d 3.045, I 93
- 2θ = 32.22°, d 2.778, I 28
- 2θ = 34.35°, d 2.611, I 43
- 2θ = 34.95°, d 2.567, I 50
- 2θ = 39.58°, d 2.277, I 55
- 2θ = 55.07°, d 1.668, I 25
- 2θ = 55.77°, d 1.648, I 41

Atomic structure:
Lattice parameters (Å, degrees): 8.336 8.336 8.336 109.11 109.11 109.11
Atoms (fractional coordinates):
1 Cd 0.141 0.827 0.316
2 Cd 0.173 0.684 0.859
3 Cd 0.316 0.141 0.827
4 Cd 0.684 0.859 0.173
5 Cd 0.827 0.316 0.141
6 Cd 0.859 0.173 0.684
7 S 0.144 0.289 0.479
8 S 0.289 0.479 0.144
9 S 0.479 0.144 0.289
10 S 0.521 0.856 0.711
11 S 0.711 0.521 0.856
12 S 0.856 0.711 0.521
13 O 0.046 0.841 0.723
14 O 0.077 0.370 0.625
15 O 0.137 0.523 0.189
16 O 0.159 0.277 0.954
17 O 0.189 0.137 0.523
18 O 0.277 0.954 0.159
19 O 0.370 0.625 0.077
20 O 0.375 0.923 0.630
21 O 0.477 0.811 0.863
22 O 0.523 0.189 0.137
23 O 0.625 0.077 0.370
24 O 0.630 0.375 0.923
25 O 0.723 0.046 0.841
26 O 0.811 0.863 0.477
27 O 0.841 0.723 0.046
28 O 0.863 0.477 0.811
29 O 0.923 0.630 0.375
30 O 0.954 0.159 0.277

4.
For Cd2SO6, a crystal structure in the Materials Project, relaxed with GGA-PBE gives the simulated XRD peak list in this record (a wavelength of 1.5418 Å).
Neutral-atom scattering factors, no anomalous dispersion.

Main lines, in order of rising 2θ (2θ from 10° to 80°):
- 2θ = 17.56°, d 5.051, I 97
- 2θ = 23.71°, d 3.753, I 35
- 2θ = 25.76°, d 3.459, I 25
- 2θ = 27.03°, d 3.299, I 38
- 2θ = 27.96°, d 3.192, I 100
- 2θ = 28.51°, d 3.131, I 32
- 2θ = 29.46°, d 3.032, I 31
- 2θ = 30.47°, d 2.934, I 30
- 2θ = 35.55°, d 2.526, I 32
- 2θ = 36.38°, d 2.470, I 26
- 2θ = 38.50°, d 2.339, I 29
- 2θ = 56.04°, d 1.641, I 20

Atomic structure:
Lattice parameters (Å, degrees): 7.028 7.028 6.722 113.67 113.67 69.17
Atoms (fractional coordinates):
1 Cd 0.153 0.339 0.188
2 Cd 0.339 0.153 0.688
3 Cd 0.661 0.847 0.312
4 Cd 0.847 0.661 0.812
5 S 0.310 0.690 0.750
6 S 0.690 0.310 0.250
7 O 0.055 0.333 0.816
8 O 0.166 0.753 0.889
9 O 0.247 0.834 0.611
10 O 0.306 0.467 0.592
11 O 0.333 0.055 0.316
12 O 0.467 0.306 0.092
13 O 0.533 0.694 0.908
14 O 0.667 0.945 0.684
15 O 0.694 0.533 0.408
16 O 0.753 0.166 0.389
17 O 0.834 0.247 0.111
18 O 0.945 0.667 0.184

5.
For CdSO3, a crystal structure in the Materials Project, relaxed with GGA-PBE gives the simulated XRD peak list in this record (a wavelength of 1.5418 Å).
Neutral-atom scattering factors, no anomalous dispersion.

Main lines, in order of rising 2θ (2θ from 10° to 80°):
- 2θ = 12.38°, d 7.151, I 77
- 2θ = 17.24°, d 5.143, I 37
- 2θ = 22.26°, d 3.994, I 40
- 2θ = 24.78°, d 3.593, I 74
- 2θ = 26.29°, d 3.390, I 100
- 2θ = 28.37°, d 3.146, I 89
- 2θ = 29.44°, d 3.034, I 65
- 2θ = 32.78°, d 2.732, I 26
- 2θ = 32.96°, d 2.718, I 57
- 2θ = 37.94°, d 2.371, I 26
- 2θ = 44.63°, d 2.030, I 27
- 2θ = 52.77°, d 1.735, I 27

Atomic structure:
Lattice parameters (Å, degrees): 5.654 12.824 8.753 90.00 100.22 90.00
Atoms (fractional coordinates):
1 Cd 0.133 0.246 0.154
2 Cd 0.133 0.254 0.654
3 Cd 0.321 0.580 0.115
4 Cd 0.321 0.920 0.615
5 Cd 0.679 0.080 0.385
6 Cd 0.679 0.420 0.885
7 Cd 0.867 0.746 0.346
8 Cd 0.867 0.754 0.846
9 S 0.097 0.521 0.747
10 S 0.097 0.979 0.247
11 S 0.461 0.674 0.516
12 S 0.461 0.826 0.016
13 S 0.539 0.174 0.984
14 S 0.539 0.326 0.484
15 S 0.903 0.021 0.753
16 S 0.903 0.479 0.253
17 O 0.005 0.592 0.254
18 O 0.005 0.908 0.754
19 O 0.082 0.077 0.662
20 O 0.082 0.423 0.162
21 O 0.249 0.746 0.004
22 O 0.249 0.754 0.504
23 O 0.312 0.241 0.919
24 O 0.312 0.259 0.419
25 O 0.336 0.522 0.866
26 O 0.336 0.978 0.366
27 O 0.492 0.157 0.152
28 O 0.492 0.343 0.652
29 O 0.508 0.657 0.348
30 O 0.508 0.843 0.848
31 O 0.664 0.022 0.634
32 O 0.664 0.478 0.134
33 O 0.688 0.741 0.581
34 O 0.688 0.759 0.081
35 O 0.751 0.246 0.496
36 O 0.751 0.254 0.996
37 O 0.918 0.577 0.838
38 O 0.918 0.923 0.338
39 O 0.995 0.092 0.246
40 O 0.995 0.408 0.746

6.
For CdSO4, a crystal structure in the Materials Project, relaxed with GGA-PBE gives the simulated XRD peak list in this record (a wavelength of 1.5418 Å).
Neutral-atom scattering factors, no anomalous dispersion.

Main lines, in order of rising 2θ (2θ from 10° to 80°):
- 2θ = 13.86°, d 6.388, I 85
- 2θ = 17.87°, d 4.964, I 43
- 2θ = 22.69°, d 3.919, I 90
- 2θ = 31.21°, d 2.866, I 100
- 2θ = 33.36°, d 2.686, I 68
- 2θ = 34.30°, d 2.615, I 34
- 2θ = 38.93°, d 2.313, I 29
- 2θ = 46.34°, d 1.959, I 60
- 2θ = 46.44°, d 1.955, I 17
- 2θ = 50.69°, d 1.801, I 17
- 2θ = 56.89°, d 1.618, I 26
- 2θ = 65.10°, d 1.433, I 17

Atomic structure:
Lattice parameters (Å, degrees): 5.729 5.729 6.388 90.14 90.14 60.07
Atoms (fractional coordinates):
1 Cd 0.000 0.000 0.000
2 Cd 0.668 0.668 0.814
3 S 0.003 0.003 0.562
4 S 0.335 0.335 0.115
5 O 0.050 0.476 0.027
6 O 0.281 0.865 0.646
7 O 0.335 0.335 0.339
8 O 0.476 0.050 0.027
9 O 0.477 0.477 0.026
10 O 0.865 0.281 0.646
11 O 0.866 0.866 0.656
12 O 0.998 0.998 0.334

7.
For Cd3S3O20, a crystal structure in the Materials Project, relaxed with GGA-PBE gives the simulated XRD peak list in this record (a wavelength of 1.5418 Å).
Neutral-atom scattering factors, no anomalous dispersion.

Main lines, in order of rising 2θ (2θ from 10° to 80°):
- 2θ = 12.05°, d 7.342, I 34
- 2θ = 12.39°, d 7.141, I 100
- 2θ = 13.18°, d 6.718, I 61
- 2θ = 13.33°, d 6.644, I 72
- 2θ = 20.69°, d 4.292, I 53
- 2θ = 22.66°, d 3.924, I 83
- 2θ = 23.10°, d 3.850, I 41
- 2θ = 27.77°, d 3.213, I 32
- 2θ = 29.12°, d 3.067, I 60
- 2θ = 31.87°, d 2.808, I 48
- 2θ = 32.65°, d 2.743, I 56
- 2θ = 36.48°, d 2.463, I 35

Atomic structure:
Lattice parameters (Å, degrees): 9.925 9.925 9.762 93.87 93.87 84.05
Atoms (fractional coordinates):
1 Cd 0.014 0.986 0.750
2 Cd 0.251 0.493 0.501
3 Cd 0.493 0.251 0.001
4 Cd 0.507 0.749 0.999
5 Cd 0.749 0.507 0.499
6 Cd 0.986 0.014 0.250
7 S 0.006 0.248 0.532
8 S 0.248 0.006 0.032
9 S 0.490 0.510 0.250
10 S 0.510 0.490 0.750
11 S 0.752 0.994 0.968
12 S 0.994 0.752 0.468
13 O 0.001 0.809 0.333
14 O 0.053 0.137 0.430
15 O 0.075 0.690 0.868
16 O 0.104 0.352 0.548
17 O 0.122 0.647 0.979
18 O 0.130 0.691 0.518
19 O 0.137 0.053 0.930
20 O 0.191 0.999 0.167
21 O 0.205 0.332 0.866
22 O 0.245 0.270 0.294
23 O 0.270 0.245 0.794
24 O 0.309 0.870 0.982
25 O 0.310 0.925 0.632
26 O 0.332 0.205 0.366
27 O 0.352 0.104 0.048
28 O 0.353 0.878 0.521
29 O 0.366 0.476 0.702
30 O 0.400 0.550 0.365
31 O 0.450 0.600 0.135
32 O 0.476 0.366 0.202
33 O 0.524 0.634 0.798
34 O 0.550 0.400 0.865
35 O 0.600 0.450 0.635
36 O 0.634 0.524 0.298
37 O 0.647 0.122 0.479
38 O 0.648 0.896 0.952
39 O 0.668 0.795 0.634
40 O 0.690 0.075 0.368
41 O 0.691 0.130 0.018
42 O 0.730 0.755 0.206
43 O 0.755 0.730 0.706
44 O 0.795 0.668 0.134
45 O 0.809 0.001 0.833
46 O 0.863 0.947 0.070
47 O 0.870 0.309 0.482
48 O 0.878 0.353 0.021
49 O 0.896 0.648 0.452
50 O 0.925 0.310 0.132
51 O 0.947 0.863 0.570
52 O 0.999 0.191 0.667

8.
For CdSO4, a crystal structure in the Materials Project, relaxed with GGA-PBE gives the simulated XRD peak list in this record (a wavelength of 1.5418 Å).
Neutral-atom scattering factors, no anomalous dispersion.

Main lines, in order of rising 2θ (2θ from 10° to 80°):
- 2θ = 19.54°, d 4.543, I 61
- 2θ = 21.12°, d 4.207, I 37
- 2θ = 23.05°, d 3.859, I 25
- 2θ = 24.38°, d 3.651, I 24
- 2θ = 31.40°, d 2.848, I 100
- 2θ = 33.20°, d 2.698, I 25
- 2θ = 36.09°, d 2.489, I 39
- 2θ = 41.60°, d 2.171, I 21
- 2θ = 44.01°, d 2.057, I 17
- 2θ = 47.10°, d 1.929, I 28
- 2θ = 50.03°, d 1.823, I 13
- 2θ = 61.37°, d 1.511, I 21

Atomic structure:
Lattice parameters (Å, degrees): 4.998 4.998 7.313 90.00 90.00 114.64
Atoms (fractional coordinates):
1 Cd 0.000 0.000 0.000
2 Cd 0.000 0.000 0.500
3 S 0.355 0.645 0.750
4 S 0.645 0.355 0.250
5 O 0.234 0.312 0.750
6 O 0.261 0.739 0.580
7 O 0.261 0.739 0.920
8 O 0.312 0.234 0.250
9 O 0.688 0.766 0.750
10 O 0.739 0.261 0.080
11 O 0.739 0.261 0.420
12 O 0.766 0.688 0.250